# 1
For Al, the PBE geometry in the Materials Project gives the calculated XRD peak list in this record (Cu Ka).

The 2 most intense peaks (5 to 70 degrees two-theta), low angle first:
| two_theta | Rel. int. | (hkl) |
| --- | --- | --- |
| 39.58 | 100 | 1 1 0 |
| 57.21 | 17 | 2 0 0 |

Structural model:
Cell lengths 3.220, 3.220, 3.220 Å; angles 90.00, 90.00, 90.00 degrees
Space group Im-3m (No. 229)
Unique sites:
Al: 0.000 0.000 0.000 x2

***

# 2
For ZnCuAsO5, the PBE geometry in the Materials Project gives the calculated XRD peak list in this record (Cu Ka).

The 10 most intense peaks (5 to 70 degrees two-theta), low angle first:
| two_theta | Rel. int. | (hkl) |
| --- | --- | --- |
| 21.47 | 54 | 1 1 1 |
| 22.89 | 47 | 0 2 0 |
| 27.52 | 86 | 1 2 0 |
| 29.36 | 53 | 1 2 1 |
| 32.59 | 100 | 0 1 3 |
| 34.17 | 82 | 2 1 1 |
| 34.35 | 33 | 1 2 2 |
| 36.10 | 47 | 1 1 3 |
| 47.95 | 37 | 0 4 1 |
| 56.81 | 40 | 2 3 3 |

Structural model:
Cell lengths 5.875, 7.771, 8.813 Å; angles 90.00, 90.00, 90.00 degrees
Space group P2_12_12_1 (No. 19)
Unique sites:
Zn: 0.052 0.192 0.305 x4
Cu: 0.247 0.751 0.496 x4
As: 0.025 0.095 0.658 x4
O: 0.002 0.138 0.089 x4
O: 0.003 0.394 0.937 x4
O: 0.058 0.245 0.519 x4
O: 0.219 0.620 0.739 x4
O: 0.238 0.921 0.272 x4

***

# 3
For Rb2Ca2Si3O9, the PBE geometry in the Materials Project gives the calculated XRD peak list in this record (Cu Ka).

The 10 most intense peaks (5 to 70 degrees two-theta), low angle first:
| two_theta | Rel. int. | (hkl) |
| --- | --- | --- |
| 25.21 | 48 | 0 2 1 |
| 26.79 | 44 | 2 0 -2 |
| 27.34 | 66 | 1 2 -1 |
| 27.72 | 69 | 0 1 3 |
| 29.17 | 46 | 1 0 -4 |
| 30.09 | 70 | 1 1 2 |
| 30.69 | 43 | 2 0 0 |
| 31.06 | 28 | 2 1 -3 |
| 31.64 | 100 | 1 2 1 |
| 32.62 | 66 | 2 0 -4 |

Structural model:
Cell lengths 6.670, 7.485, 12.244 Å; angles 90.00, 119.13, 90.00 degrees
Space group Pc (No. 7)
Unique sites:
Rb: 0.000 0.091 0.000 x2
Rb: 0.385 0.159 0.371 x2
Ca: 0.434 0.334 0.687 x2
Ca: 0.902 0.435 0.418 x2
Si: 0.434 0.362 0.956 x2
Si: 0.675 0.084 0.180 x2
Si: 0.989 0.245 0.724 x2
O: 0.037 0.326 0.616 x2
O: 0.247 0.214 0.852 x2
O: 0.301 0.493 0.007 x2
O: 0.451 0.041 0.639 x2
O: 0.551 0.465 0.884 x2
O: 0.629 0.232 0.067 x2
O: 0.772 0.180 0.315 x2
O: 0.826 0.354 0.764 x2
O: 0.892 0.036 0.683 x2

***

# 4
For BiF3, the PBE geometry in the Materials Project gives the calculated XRD peak list in this record (Cu Ka).

The 6 most intense peaks (5 to 70 degrees two-theta), low angle first:
| two_theta | Rel. int. | (hkl) |
| --- | --- | --- |
| 26.78 | 100 | 1 1 1 |
| 31.03 | 52 | 2 0 0 |
| 44.45 | 79 | 2 2 0 |
| 52.66 | 51 | 3 1 1 |
| 55.19 | 15 | 2 2 2 |
| 64.67 | 12 | 4 0 0 |

Structural model:
Cell lengths 5.765, 5.765, 5.765 Å; angles 90.00, 90.00, 90.00 degrees
Space group Fm-3m (No. 225)
Unique sites:
Bi: 0.000 0.000 0.000 x4
F: 0.000 0.000 0.500 x4
F: 0.250 0.250 0.250 x8

***

# 5
For HgGe3, the PBE geometry in the Materials Project gives the calculated XRD peak list in this record (Cu Ka).

The 9 most intense peaks (5 to 70 degrees two-theta), low angle first:
| two_theta | Rel. int. | (hkl) |
| --- | --- | --- |
| 20.20 | 25 | 1 0 0 |
| 28.72 | 22 | 1 1 0 |
| 35.37 | 100 | 1 1 1 |
| 41.07 | 50 | 2 0 0 |
| 46.18 | 13 | 2 1 0 |
| 50.89 | 10 | 2 1 1 |
| 59.48 | 33 | 2 2 0 |
| 63.49 | 6 | 3 0 0 |
| 67.37 | 4 | 3 1 0 |

Structural model:
Cell lengths 4.396, 4.396, 4.396 Å; angles 90.00, 90.00, 90.00 degrees
Space group Pm-3m (No. 221)
Unique sites:
Hg: 0.000 0.000 0.000 x1
Ge: 0.000 0.500 0.500 x3

***

# 6
For Mg2TiNb2O8, the PBE geometry in the Materials Project gives the calculated XRD peak list in this record (Cu Ka).

The 10 most intense peaks (5 to 70 degrees two-theta), low angle first:
| two_theta | Rel. int. | (hkl) |
| --- | --- | --- |
| 20.41 | 79 | 3 1 0 |
| 23.10 | 58 | 1 1 1 |
| 26.65 | 100 | 3 1 -1 |
| 27.76 | 94 | 5 1 0 |
| 32.66 | 65 | 5 1 -1 |
| 32.76 | 72 | 5 1 1 |
| 34.30 | 56 | 0 0 2 |
| 34.62 | 90 | 0 2 1 |
| 51.82 | 59 | 8 0 -2 |
| 52.06 | 77 | 8 2 -1 |

Structural model:
Cell lengths 19.072, 5.966, 5.228 Å; angles 90.00, 90.24, 90.00 degrees
Space group C2/c (No. 15)
Unique sites:
Mg: 0.227 0.138 0.244 x8
Ti: 0.000 0.130 0.250 x4
Nb: 0.116 0.359 0.740 x8
O: 0.055 0.129 0.581 x8
O: 0.066 0.366 0.096 x8
O: 0.186 0.402 0.437 x8
O: 0.190 0.146 0.873 x8

***

# 7
For YMgAg, the PBE geometry in the Materials Project gives the calculated XRD peak list in this record (Cu Ka).

The 10 most intense peaks (5 to 70 degrees two-theta), low angle first:
| two_theta | Rel. int. | (hkl) |
| --- | --- | --- |
| 22.90 | 44 | 1 1 0 |
| 25.43 | 23 | 1 0 1 |
| 31.72 | 65 | 1 1 1 |
| 34.48 | 100 | 2 0 1 |
| 35.30 | 18 | 2 1 0 |
| 40.22 | 40 | 3 0 0 |
| 41.80 | 36 | 2 1 1 |
| 44.14 | 22 | 0 0 2 |
| 61.23 | 22 | 3 0 2 |
| 64.51 | 26 | 3 2 1 |

Structural model:
Cell lengths 7.7673, 7.7673, 4.1036 Å; angles 90.00, 90.00, 120.00 degrees
Space group P-62m (No. 189)
Unique sites:
Y: 0.0000 0.5884 0.0000 x3
Mg: 0.0000 0.2479 0.5000 x3
Ag: 0.0000 0.0000 0.0000 x1
Ag: 0.3333 0.6667 0.5000 x2